Record 1
The following is a computed PXRD pattern of LiNd12Ga6. It was derived from a GGA-PBE-relaxed structure, using Cu Kα, 1.54184 Å.

Main lines, in order of falling intensity (2θ = 10–90°):
2θ (°)	I/Imax
32.44	100
43.44	47
28.09	35
26.41	29
27.09	26
35.38	25
30.69	24
32.25	23
31.68	22
21.07	19

Structure:
a b c (Å): 9.0100 9.0100 9.0100
angles (deg): 108.27 108.27 108.27
Atoms (fractional coordinates):
Li1 0.0000 0.0000 0.0000
Nd1 0.0064 0.8582 0.3108
Nd2 0.1276 0.3698 0.4649
Nd3 0.1418 0.6892 0.9936
Nd4 0.3108 0.0064 0.8582
Nd5 0.3698 0.4649 0.1276
Nd6 0.4649 0.1276 0.3698
Nd7 0.5351 0.8724 0.6302
Nd8 0.6302 0.5351 0.8724
Nd9 0.6892 0.9936 0.1418
Nd10 0.8582 0.3108 0.0064
Nd11 0.8724 0.6302 0.5351
Nd12 0.9936 0.1418 0.6892
Ga1 0.1850 0.6291 0.3206
Ga2 0.3206 0.1850 0.6291
Ga3 0.3709 0.6794 0.8150
Ga4 0.6291 0.3206 0.1850
Ga5 0.6794 0.8150 0.3709
Ga6 0.8150 0.3709 0.6794

Record 2
The following is a computed PXRD pattern of CsTc3Bi. It was derived from a GGA-PBE-relaxed structure, using Cu Kα, 1.54184 Å.

Main lines, in order of falling intensity (2θ = 10–90°):
2θ (°)	I/Imax
33.97	100
48.80	72
23.84	66
16.80	42
81.56	32
41.92	31
29.31	25
60.79	25
38.12	23
66.25	17

Structure:
a b c (Å): 5.2784 5.2784 5.2784
angles (deg): 90.00 90.00 90.00
Atoms (fractional coordinates):
Cs1 0.0000 0.0000 0.0000
Tc1 0.0000 0.5000 0.5000
Tc2 0.5000 0.0000 0.5000
Tc3 0.5000 0.5000 0.0000
Bi1 0.5000 0.5000 0.5000

Number 1 is which compound? LiNd12Ga6